The following is a theoretical powder diffraction line list of Dy8Tm3Th2. It was derived from a PBE-relaxed structure, using λ = 1.5418 Å (Cu Kα).
Kinematic intensities with the Lorentz-polarization factor, no thermal factor.

Cell and atoms:
```
data_Dy8Tm3Th2
_cell_length_a 6.6039
_cell_length_b 17.4305
_cell_length_c 7.5907
_cell_angle_alpha 90.00
_cell_angle_beta 106.66
_cell_angle_gamma 90.00
_space_group_name_H-M_alt 'P 1'
_space_group_IT_number 1
loop_
_space_group_symop_operation_xyz
'x,y,z'
loop_
_atom_site_label
_atom_site_type_symbol
_atom_site_fract_x
_atom_site_fract_y
_atom_site_fract_z
Dy1 Dy 0.0867 0.0724 0.1491
Dy2 Dy 0.0867 0.4276 0.6491
Dy3 Dy 0.1341 0.0809 0.6317
Dy4 Dy 0.1341 0.4191 0.1317
Dy5 Dy 0.3544 0.2387 0.9624
Dy6 Dy 0.3544 0.2613 0.4624
Dy7 Dy 0.3574 0.6151 0.1788
Dy8 Dy 0.3574 0.8849 0.6788
Dy9 Dy 0.6426 0.1151 0.3212
Dy10 Dy 0.6426 0.3849 0.8212
Dy11 Dy 0.6456 0.7387 0.5376
Dy12 Dy 0.6456 0.7613 0.0376
Dy13 Dy 0.8659 0.5809 0.8683
Dy14 Dy 0.8659 0.9191 0.3683
Dy15 Dy 0.9133 0.5724 0.3509
Dy16 Dy 0.9133 0.9276 0.8509
Tm1 Tm 0.1025 0.7460 0.4027
Tm2 Tm 0.1025 0.7540 0.9027
Tm3 Tm 0.5000 0.0000 0.0000
Tm4 Tm 0.5000 0.5000 0.5000
Tm5 Tm 0.8975 0.2460 0.0973
Tm6 Tm 0.8975 0.2540 0.5973
Th1 Th 0.3407 0.6110 0.7536
Th2 Th 0.3407 0.8890 0.2536
Th3 Th 0.6593 0.1110 0.7464
Th4 Th 0.6593 0.3890 0.2464
```

Principal peaks in the range 2θ from 10° to 90°, low angle first:
2θ (°)  intensity
26.6  12
29.2  13
30.8  21
32.1  100
32.2  64
33.4  16
35.7  14
47.9  13
48.8  17
58.9  15


The following is a theoretical powder diffraction line list of La5Pm4Nd2. It was derived from a PBE-relaxed structure, using λ = 1.5418 Å (Cu Kα).
Kinematic intensities with the Lorentz-polarization factor, no thermal factor.

Cell and atoms:
```
data_La5Pm4Nd2
_cell_length_a 12.5329
_cell_length_b 12.5329
_cell_length_c 8.9273
_cell_angle_alpha 94.75
_cell_angle_beta 94.75
_cell_angle_gamma 16.60
_space_group_name_H-M_alt 'P 1'
_space_group_IT_number 1
loop_
_space_group_symop_operation_xyz
'x,y,z'
loop_
_atom_site_label
_atom_site_type_symbol
_atom_site_fract_x
_atom_site_fract_y
_atom_site_fract_z
La1 La 0.0000 0.0000 0.0000
La2 La 0.3168 0.3168 0.5281
La3 La 0.3679 0.3679 0.9491
La4 La 0.6321 0.6321 0.0509
La5 La 0.6832 0.6832 0.4719
Pm1 Pm 0.0865 0.0865 0.6961
Pm2 Pm 0.4596 0.4596 0.6533
Pm3 Pm 0.5404 0.5404 0.3467
Pm4 Pm 0.9135 0.9135 0.3039
Nd1 Nd 0.2272 0.2272 0.8246
Nd2 Nd 0.7728 0.7728 0.1754
```

Principal peaks in the range 2θ from 10° to 90°, low angle first:
2θ (°)  intensity
27.0  65
29.8  100
30.4  80
30.8  77
32.8  89
33.2  86
50.2  45
59.5  50
59.7  28
60.3  25


Repeat the first record exactly.
The following is a theoretical powder diffraction line list of Dy8Tm3Th2. It was derived from a PBE-relaxed structure, using λ = 1.5418 Å (Cu Kα).
Kinematic intensities with the Lorentz-polarization factor, no thermal factor.

Cell and atoms:
```
data_Dy8Tm3Th2
_cell_length_a 6.6039
_cell_length_b 17.4305
_cell_length_c 7.5907
_cell_angle_alpha 90.00
_cell_angle_beta 106.66
_cell_angle_gamma 90.00
_space_group_name_H-M_alt 'P 1'
_space_group_IT_number 1
loop_
_space_group_symop_operation_xyz
'x,y,z'
loop_
_atom_site_label
_atom_site_type_symbol
_atom_site_fract_x
_atom_site_fract_y
_atom_site_fract_z
Dy1 Dy 0.0867 0.0724 0.1491
Dy2 Dy 0.0867 0.4276 0.6491
Dy3 Dy 0.1341 0.0809 0.6317
Dy4 Dy 0.1341 0.4191 0.1317
Dy5 Dy 0.3544 0.2387 0.9624
Dy6 Dy 0.3544 0.2613 0.4624
Dy7 Dy 0.3574 0.6151 0.1788
Dy8 Dy 0.3574 0.8849 0.6788
Dy9 Dy 0.6426 0.1151 0.3212
Dy10 Dy 0.6426 0.3849 0.8212
Dy11 Dy 0.6456 0.7387 0.5376
Dy12 Dy 0.6456 0.7613 0.0376
Dy13 Dy 0.8659 0.5809 0.8683
Dy14 Dy 0.8659 0.9191 0.3683
Dy15 Dy 0.9133 0.5724 0.3509
Dy16 Dy 0.9133 0.9276 0.8509
Tm1 Tm 0.1025 0.7460 0.4027
Tm2 Tm 0.1025 0.7540 0.9027
Tm3 Tm 0.5000 0.0000 0.0000
Tm4 Tm 0.5000 0.5000 0.5000
Tm5 Tm 0.8975 0.2460 0.0973
Tm6 Tm 0.8975 0.2540 0.5973
Th1 Th 0.3407 0.6110 0.7536
Th2 Th 0.3407 0.8890 0.2536
Th3 Th 0.6593 0.1110 0.7464
Th4 Th 0.6593 0.3890 0.2464
```

Principal peaks in the range 2θ from 10° to 90°, low angle first:
2θ (°)  intensity
26.6  12
29.2  13
30.8  21
32.1  100
32.2  64
33.4  16
35.7  14
47.9  13
48.8  17
58.9  15